Theoretical X-ray diffraction stick pattern
Compound: Cs2BaNpO5
Radiation: Cu Kα
Structure: DFT lattice parameters and positions (GGA-PBE)

Cell and atoms:
```
Cs2BaNpO5
1.0
-2.1570 3.1096 7.1726
2.1570 -3.1096 7.1726
2.1570 3.1096 -7.1726
Cs Ba Np O
2 1 1 5
Direct
0.2188 0.2188 0.0000
0.7812 0.7812 0.0000
0.5000 0.0000 0.5000
0.0000 0.5000 0.5000
0.0000 0.0000 0.0000
0.1392 0.4016 0.7375
0.3359 0.5984 0.7375
0.6641 0.4016 0.2625
0.8608 0.5984 0.2625
```

Top 10 peaks for 2θ = 5–70°, in order of falling intensity:
| two_theta | Rel. int. |
| --- | --- |
| 28.08 | 100 |
| 24.83 | 25 |
| 38.31 | 24 |
| 28.71 | 22 |
| 50.47 | 20 |
| 58.03 | 19 |
| 15.53 | 17 |
| 45.78 | 15 |
| 12.34 | 13 |
| 41.88 | 12 |

Theoretical X-ray diffraction stick pattern
Compound: Sm4HoTm10
Radiation: Cu Kα
Structure: DFT lattice parameters and positions (GGA-PBE)

Cell and atoms:
```
Sm4HoTm10
1.0
-5.5741 5.5741 3.9288
5.5741 -5.5741 3.9288
5.5741 5.5741 -3.9288
Sm Ho Tm
4 1 10
Direct
0.2284 0.2284 0.4567
0.2284 0.7716 0.0000
0.7716 0.2284 0.0000
0.7716 0.7716 0.5433
0.0000 0.0000 0.0000
0.0855 0.2938 0.7917
0.2500 0.7500 0.5000
0.2938 0.0855 0.7917
0.2938 0.5020 0.2083
0.4980 0.7062 0.7917
0.5020 0.2938 0.2083
0.7062 0.4980 0.7917
0.7062 0.9145 0.2083
0.7500 0.2500 0.5000
0.9145 0.7062 0.2083
```

Top 10 peaks for 2θ = 5–70°, in order of falling intensity:
| two_theta | Rel. int. |
| --- | --- |
| 32.14 | 100 |
| 34.16 | 34 |
| 41.33 | 32 |
| 31.08 | 26 |
| 27.78 | 25 |
| 68.39 | 16 |
| 35.20 | 15 |
| 54.01 | 14 |
| 25.27 | 14 |
| 66.77 | 13 |

Theoretical X-ray diffraction stick pattern
Compound: Sn3BF9
Radiation: Cu Kα
Structure: DFT lattice parameters and positions (GGA-PBE)

Cell and atoms:
```
Sn3BF9
1.0
10.3780 0.0000 0.0000
0.0000 7.8034 0.0000
-1.1795 0.0000 10.9594
Sn B F
12 4 36
Direct
0.0576 0.1658 0.1848
0.0576 0.3342 0.6848
0.2035 0.6357 0.0520
0.2035 0.8643 0.5520
0.3180 0.0995 0.9334
0.3180 0.4005 0.4334
0.6820 0.5995 0.5666
0.6820 0.9005 0.0666
0.7965 0.1357 0.4480
0.7965 0.3643 0.9480
0.9424 0.6658 0.3152
0.9424 0.8342 0.8152
0.4101 0.5710 0.7978
0.4101 0.9290 0.2978
0.5899 0.0710 0.7022
0.5899 0.4290 0.2022
0.0409 0.6120 0.9049
0.0409 0.8880 0.4049
0.0728 0.7403 0.1715
0.0728 0.7597 0.6715
0.1768 0.1251 0.7759
0.1768 0.3749 0.2759
0.1779 0.6025 0.4681
0.1779 0.8975 0.9681
0.1968 0.2482 0.5306
0.1968 0.2518 0.0306
0.3368 0.0707 0.3367
0.3368 0.4293 0.8367
0.3634 0.6091 0.6739
0.3634 0.8909 0.1739
0.3890 0.7139 0.8728
0.3890 0.7861 0.3728
0.4579 0.0301 0.6943
0.4579 0.4699 0.1943
0.5421 0.5301 0.8057
0.5421 0.9699 0.3057
0.6110 0.2139 0.6272
0.6110 0.2861 0.1272
0.6366 0.1091 0.8261
0.6366 0.3909 0.3261
0.6632 0.5707 0.1633
0.6632 0.9293 0.6633
0.8032 0.7482 0.9694
0.8032 0.7518 0.4694
0.8221 0.1025 0.0319
0.8221 0.3975 0.5319
0.8232 0.6251 0.7241
0.8232 0.8749 0.2241
0.9272 0.2403 0.3285
0.9272 0.2597 0.8285
0.9591 0.1120 0.5951
0.9591 0.3880 0.0951
```

Top 10 peaks for 2θ = 5–70°, in order of falling intensity:
| two_theta | Rel. int. |
| --- | --- |
| 26.02 | 100 |
| 24.94 | 85 |
| 25.14 | 77 |
| 27.50 | 49 |
| 8.57 | 48 |
| 28.73 | 37 |
| 44.59 | 33 |
| 51.19 | 24 |
| 44.71 | 22 |
| 41.49 | 22 |

Theoretical X-ray diffraction stick pattern
Compound: Pr11O20
Radiation: Cu Kα
Structure: DFT lattice parameters and positions (GGA-PBE)

Cell and atoms:
```
Pr11O20
1.0
6.8391 0.0000 0.0000
-0.9778 6.9798 0.0000
-0.6436 -0.9570 10.6988
Pr O
11 20
Direct
0.0000 0.0000 0.0000
0.1252 0.5484 0.1712
0.1781 0.1121 0.3684
0.2709 0.6369 0.5208
0.3694 0.1469 0.7221
0.4651 0.7350 0.9243
0.5349 0.2650 0.0757
0.6306 0.8531 0.2779
0.7291 0.3631 0.4792
0.8219 0.8879 0.6316
0.8748 0.4516 0.8288
0.0340 0.1580 0.7956
0.0371 0.4272 0.3694
0.1205 0.6715 0.9642
0.1550 0.9439 0.5645
0.2088 0.2204 0.1600
0.2879 0.7973 0.3303
0.3340 0.0406 0.9287
0.3738 0.3253 0.5376
0.4642 0.8227 0.7038
0.4683 0.5887 0.1280
0.5317 0.4113 0.8720
0.5358 0.1773 0.2962
0.6262 0.6747 0.4624
0.6660 0.9594 0.0713
0.7121 0.2027 0.6697
0.7912 0.7796 0.8400
0.8450 0.0561 0.4355
0.8795 0.3285 0.0357
0.9629 0.5728 0.6306
0.9660 0.8420 0.2044
```

Top 10 peaks for 2θ = 5–70°, in order of falling intensity:
| two_theta | Rel. int. |
| --- | --- |
| 27.10 | 100 |
| 43.91 | 18 |
| 45.64 | 16 |
| 45.39 | 16 |
| 52.59 | 14 |
| 52.14 | 13 |
| 55.16 | 12 |
| 30.83 | 11 |
| 30.49 | 11 |
| 32.80 | 9 |

Theoretical X-ray diffraction stick pattern
Compound: LiCdIn2Pb4
Radiation: Cu Kα
Structure: DFT lattice parameters and positions (GGA-PBE)

Cell and atoms:
```
LiCdIn2Pb4
1.0
6.7382 0.0000 0.0000
-0.0939 6.7522 0.0000
-3.3479 -3.2769 4.9002
Li Cd In Pb
1 1 2 4
Direct
0.0000 0.0000 0.0000
0.4948 0.4958 0.9907
0.0008 0.4953 0.4961
0.4938 0.0003 0.4942
0.4991 0.9987 0.9962
0.5016 0.5021 0.4951
0.9941 0.9941 0.4963
0.9966 0.4977 0.9959
```

Top 10 peaks for 2θ = 5–70°, in order of falling intensity:
| two_theta | Rel. int. |
| --- | --- |
| 31.89 | 100 |
| 32.17 | 98 |
| 32.32 | 97 |
| 32.51 | 95 |
| 36.68 | 69 |
| 37.46 | 65 |
| 38.00 | 63 |
| 18.74 | 54 |
| 64.66 | 40 |
| 63.83 | 28 |

Theoretical X-ray diffraction stick pattern
Compound: MgPdW
Radiation: Cu Kα
Structure: DFT lattice parameters and positions (GGA-PBE)

Cell and atoms:
```
MgPdW
1.0
14.4578 0.0000 0.0000
0.0000 3.0846 0.0000
-0.0026 0.0000 4.4084
Mg Pd W
4 4 4
Direct
0.0797 0.0000 0.2509
0.4203 0.5000 0.7491
0.5797 0.5000 0.2509
0.9203 0.0000 0.7491
0.0876 0.5000 0.7512
0.4124 0.0000 0.2488
0.5876 0.0000 0.7512
0.9124 0.5000 0.2488
0.2409 0.0000 0.7509
0.2591 0.5000 0.2491
0.7409 0.5000 0.7509
0.7591 0.0000 0.2491
```

Top 10 peaks for 2θ = 5–70°, in order of falling intensity:
| two_theta | Rel. int. |
| --- | --- |
| 40.29 | 100 |
| 12.24 | 59 |
| 37.32 | 29 |
| 40.94 | 24 |
| 23.64 | 19 |
| 56.59 | 17 |
| 36.08 | 17 |
| 69.31 | 17 |
| 42.88 | 13 |
| 24.63 | 9 |

Theoretical X-ray diffraction stick pattern
Compound: Hg2SbPb6
Radiation: Cu Kα
Structure: DFT lattice parameters and positions (GGA-PBE)

Cell and atoms:
```
Hg2SbPb6
1.0
4.0041 0.0000 0.0000
0.0000 7.2020 4.7680
0.0000 -7.2020 4.7680
Hg Sb Pb
2 1 6
Direct
0.0000 0.1807 0.8193
0.0000 0.8193 0.1807
0.5000 0.5406 0.5406
0.0000 0.2247 0.4687
0.0000 0.4687 0.2247
0.0000 0.8045 0.8045
0.5000 0.1097 0.1097
0.5000 0.5036 0.9017
0.5000 0.9017 0.5036
```

Top 10 peaks for 2θ = 5–70°, in order of falling intensity:
| two_theta | Rel. int. |
| --- | --- |
| 30.55 | 100 |
| 31.72 | 87 |
| 33.82 | 79 |
| 29.12 | 78 |
| 32.47 | 43 |
| 62.89 | 37 |
| 57.71 | 35 |
| 59.54 | 35 |
| 45.30 | 34 |
| 39.69 | 29 |

Theoretical X-ray diffraction stick pattern
Compound: Ni4SeS
Radiation: Cu Kα
Structure: DFT lattice parameters and positions (GGA-PBE)

Cell and atoms:
```
Ni4SeS
1.0
6.8734 0.0000 0.0000
0.0000 7.0007 0.0000
0.0000 0.0000 3.7622
Ni Se S
8 2 2
Direct
0.0000 0.1694 0.0000
0.0000 0.8306 0.0000
0.1905 0.5000 0.5000
0.3095 0.0000 0.5000
0.5000 0.3306 0.0000
0.5000 0.6694 0.0000
0.6905 0.0000 0.5000
0.8095 0.5000 0.5000
0.0000 0.5000 0.0000
0.5000 0.0000 0.0000
0.0000 0.0000 0.5000
0.5000 0.5000 0.5000
```

Top 10 peaks for 2θ = 5–70°, in order of falling intensity:
| two_theta | Rel. int. |
| --- | --- |
| 35.37 | 100 |
| 48.35 | 66 |
| 61.88 | 62 |
| 25.45 | 50 |
| 40.84 | 45 |
| 47.73 | 42 |
| 25.93 | 34 |
| 35.01 | 32 |
| 65.12 | 21 |
| 41.47 | 15 |

Theoretical X-ray diffraction stick pattern
Compound: Pr2Nb2N5
Radiation: Cu Kα
Structure: DFT lattice parameters and positions (GGA-PBE)

Cell and atoms:
```
Pr2Nb2N5
1.0
5.9263 -1.7629 0.0000
5.9263 1.7629 0.0000
-2.3949 0.0000 6.2273
Pr Nb N
2 2 5
Direct
0.1708 0.1708 0.2201
0.8292 0.8292 0.7799
0.4410 0.4410 0.2640
0.5590 0.5590 0.7360
0.1510 0.1510 0.8274
0.3846 0.3846 0.5445
0.5000 0.5000 0.0000
0.6154 0.6154 0.4555
0.8490 0.8490 0.1726
```

Top 10 peaks for 2θ = 5–70°, in order of falling intensity:
| two_theta | Rel. int. |
| --- | --- |
| 28.79 | 100 |
| 28.67 | 79 |
| 35.22 | 76 |
| 30.29 | 66 |
| 39.76 | 38 |
| 31.61 | 36 |
| 44.16 | 35 |
| 49.01 | 34 |
| 40.15 | 32 |
| 48.52 | 30 |

Theoretical X-ray diffraction stick pattern
Compound: La6CePm
Radiation: Cu Kα
Structure: DFT lattice parameters and positions (GGA-PBE)

Cell and atoms:
```
La6CePm
1.0
5.1966 0.0000 0.0000
0.0000 5.1966 0.0000
0.0000 0.0000 10.4036
La Ce Pm
6 1 1
Direct
0.0000 0.0000 0.0000
0.0000 0.0000 0.5000
0.0000 0.5000 0.2435
0.0000 0.5000 0.7565
0.5000 0.0000 0.2435
0.5000 0.0000 0.7565
0.5000 0.5000 0.0000
0.5000 0.5000 0.5000
```

Top 5 peaks for 2θ = 5–70°, in order of falling intensity:
| two_theta | Rel. int. |
| --- | --- |
| 29.77 | 100 |
| 34.51 | 51 |
| 58.93 | 43 |
| 49.60 | 36 |
| 61.83 | 12 |

Theoretical X-ray diffraction stick pattern
Compound: AcLuNi2
Radiation: Cu Kα
Structure: DFT lattice parameters and positions (GGA-PBE)

Cell and atoms:
```
AcLuNi2
1.0
4.5338 0.0000 0.0000
-2.2669 3.9264 0.0000
0.0000 0.0000 15.3398
Ac Lu Ni
3 3 6
Direct
0.0000 0.0000 0.0000
0.3333 0.6667 0.6667
0.6667 0.3333 0.3333
0.0000 0.0000 0.5000
0.3333 0.6667 0.1667
0.6667 0.3333 0.8333
0.0000 0.0000 0.2109
0.0000 0.0000 0.7891
0.3333 0.6667 0.4558
0.3333 0.6667 0.8776
0.6667 0.3333 0.1224
0.6667 0.3333 0.5442
```

Top 10 peaks for 2θ = 5–70°, in order of falling intensity:
| two_theta | Rel. int. |
| --- | --- |
| 32.64 | 100 |
| 39.76 | 74 |
| 25.49 | 66 |
| 54.07 | 33 |
| 52.35 | 27 |
| 67.70 | 25 |
| 35.10 | 18 |
| 65.31 | 15 |
| 53.16 | 14 |
| 47.83 | 13 |

Theoretical X-ray diffraction stick pattern
Compound: TmZn3Hg
Radiation: Cu Kα
Structure: DFT lattice parameters and positions (GGA-PBE)

Cell and atoms:
```
TmZn3Hg
1.0
2.1748 -12.9308 0.0000
2.1748 12.9308 0.0000
0.0000 0.0000 3.5995
Tm Zn Hg
2 6 2
Direct
0.1763 0.8237 0.0000
0.8237 0.1763 0.0000
0.0507 0.9493 0.5000
0.2722 0.7278 0.5000
0.4537 0.5463 0.0000
0.5463 0.4537 0.0000
0.7278 0.2722 0.5000
0.9493 0.0507 0.5000
0.3762 0.6238 0.5000
0.6238 0.3762 0.5000
```

Top 10 peaks for 2θ = 5–70°, in order of falling intensity:
| two_theta | Rel. int. |
| --- | --- |
| 33.96 | 100 |
| 37.51 | 30 |
| 37.39 | 29 |
| 41.52 | 28 |
| 26.78 | 24 |
| 32.42 | 22 |
| 13.70 | 21 |
| 43.77 | 18 |
| 57.10 | 17 |
| 50.72 | 15 |

Theoretical X-ray diffraction stick pattern
Compound: RuAu5
Radiation: Cu Kα
Structure: DFT lattice parameters and positions (GGA-PBE)

Cell and atoms:
```
RuAu5
1.0
4.8513 0.0000 0.0000
0.0000 2.8337 0.0000
0.0000 0.0000 15.1756
Ru Au
2 10
Direct
0.0000 0.0000 0.0000
0.0000 0.5000 0.5000
0.0000 0.0000 0.3394
0.0000 0.0000 0.6647
0.0000 0.5000 0.1647
0.0000 0.5000 0.8394
0.5000 0.0000 0.1115
0.5000 0.0000 0.4498
0.5000 0.0000 0.7787
0.5000 0.5000 0.2787
0.5000 0.5000 0.6115
0.5000 0.5000 0.9498
```

Top 10 peaks for 2θ = 5–70°, in order of falling intensity:
| two_theta | Rel. int. |
| --- | --- |
| 40.97 | 100 |
| 40.21 | 51 |
| 37.06 | 44 |
| 36.34 | 23 |
| 69.45 | 21 |
| 64.29 | 18 |
| 52.88 | 16 |
| 35.49 | 13 |
| 68.92 | 11 |
| 52.25 | 9 |